The following is a computed powder diffraction line list of Rb7TeH2I2. It was derived from a GGA-PBE-relaxed structure, using copper Kα.
Kinematic intensities with the Lorentz-polarization factor, no thermal factor.

Top 12 peaks for 2θ from 10° to 90°, in order of rising 2θ:
2θ/deg  I_rel
22.08  10.9
22.77  9.7
24.72  19.6
24.86  22.0
27.68  100.0
29.44  10.0
31.43  48.5
40.48  11.8
45.04  17.5
46.46  12.8
53.69  32.6
74.55  9.7

Atomic structure:
```
Rb7TeH2I2
1.0
-2.8463 2.8463 16.1328
2.8463 -2.8463 16.1328
2.8463 2.8463 -16.1328
Rb Te H I
7 1 2 2
Direct
0.0000 0.0000 0.0000 Rb
0.0866 0.5866 0.5000 Rb
0.2036 0.2036 0.0000 Rb
0.4134 0.9134 0.5000 Rb
0.5866 0.0866 0.5000 Rb
0.7964 0.7964 0.0000 Rb
0.9134 0.4134 0.5000 Rb
0.5000 0.5000 0.0000 Te
0.0895 0.0895 0.0000 H
0.9105 0.9105 0.0000 H
0.3369 0.3369 0.0000 I
0.6631 0.6631 0.0000 I
```



The following is a computed powder diffraction line list of Ba3Mg2PaO9. It was derived from a GGA-PBE-relaxed structure, using copper Kα.
Kinematic intensities with the Lorentz-polarization factor, no thermal factor.

Top 12 peaks for 2θ from 10° to 90°, in order of rising 2θ:
2θ/deg  I_rel
17.25  31.5
20.98  29.8
29.58  100.0
30.11  82.9
36.99  15.5
42.72  59.6
52.15  16.1
53.15  40.1
53.47  17.1
61.41  15.9
62.60  16.7
70.72  21.6

Atomic structure:
```
Ba3Mg2PaO9
1.0
5.9358 0.0000 0.0000
-2.9679 5.1406 0.0000
0.0000 0.0000 7.4628
Ba Mg Pa O
3 2 1 9
Direct
0.0000 0.0000 0.0000 Ba
0.3333 0.6667 0.6913 Ba
0.6667 0.3333 0.3087 Ba
0.3333 0.6667 0.1641 Mg
0.6667 0.3333 0.8359 Mg
0.0000 0.0000 0.5000 Pa
0.0000 0.5000 0.0000 O
0.1672 0.3343 0.3295 O
0.1672 0.8328 0.3295 O
0.3343 0.1672 0.6705 O
0.5000 0.0000 0.0000 O
0.5000 0.5000 0.0000 O
0.6657 0.8328 0.3295 O
0.8328 0.1672 0.6705 O
0.8328 0.6657 0.6705 O
```



The following is a computed powder diffraction line list of BaPuF2. It was derived from a GGA-PBE-relaxed structure, using copper Kα.
Kinematic intensities with the Lorentz-polarization factor, no thermal factor.

Top 12 peaks for 2θ from 10° to 90°, in order of rising 2θ:
2θ/deg  I_rel
12.96  22.2
25.93  100.0
26.10  36.3
30.08  56.1
42.94  32.9
43.16  31.9
50.92  51.7
51.14  14.8
53.32  12.0
68.69  13.6
71.08  11.0
78.85  10.9

Atomic structure:
```
BaPuF2
1.0
4.2121 0.0000 0.0000
-2.1060 3.6478 0.0000
0.0000 0.0000 20.4875
Ba Pu F
3 3 6
Direct
0.0000 0.0000 0.0000 Ba
0.3333 0.6667 0.6667 Ba
0.6667 0.3333 0.3333 Ba
0.0000 0.0000 0.5000 Pu
0.3333 0.6667 0.1667 Pu
0.6667 0.3333 0.8333 Pu
0.0000 0.0000 0.1341 F
0.0000 0.0000 0.8659 F
0.3333 0.6667 0.5326 F
0.3333 0.6667 0.8008 F
0.6667 0.3333 0.1992 F
0.6667 0.3333 0.4674 F
```



The following is a computed powder diffraction line list of Cd5In2Hg2. It was derived from a GGA-PBE-relaxed structure, using copper Kα.
Kinematic intensities with the Lorentz-polarization factor, no thermal factor.

Top 12 peaks for 2θ from 10° to 90°, in order of rising 2θ:
2θ/deg  I_rel
28.57  19.2
31.25  47.4
34.17  15.2
34.35  100.0
35.11  37.4
36.48  30.8
36.98  42.5
37.20  28.6
37.72  22.5
54.40  20.4
64.10  22.7
72.38  15.8

Atomic structure:
```
Cd5In2Hg2
1.0
-9.2841 3.8709 3.1242
9.2841 -3.8709 3.1242
9.2841 3.8709 -3.1242
Cd In Hg
10 4 4
Direct
0.2303 0.0913 0.3216 Cd
0.2303 0.4087 0.6390 Cd
0.2435 0.4631 0.1182 Cd
0.2435 0.6253 0.2803 Cd
0.3350 0.3188 0.5162 Cd
0.3449 0.1253 0.8818 Cd
0.3449 0.9631 0.7197 Cd
0.7697 0.5913 0.3610 Cd
0.7697 0.9087 0.6784 Cd
0.8026 0.8188 0.4838 Cd
0.6363 0.1789 0.3059 In
0.6363 0.8304 0.9574 In
0.8730 0.3304 0.6941 In
0.8730 0.6789 0.0426 In
0.2799 0.2799 0.0000 Hg
0.2799 0.7799 0.5000 Hg
0.7216 0.0720 0.1496 Hg
0.9223 0.5720 0.8504 Hg
```



The following is a computed powder diffraction line list of K4CuBr6. It was derived from a GGA-PBE-relaxed structure, using copper Kα.
Kinematic intensities with the Lorentz-polarization factor, no thermal factor.

Top 12 peaks for 2θ from 10° to 90°, in order of rising 2θ:
2θ/deg  I_rel
13.88  57.7
24.14  19.1
27.99  16.1
29.69  100.0
31.31  19.8
31.39  76.5
32.95  24.5
39.86  24.2
44.98  22.7
51.59  34.0
51.69  15.3
61.66  16.7

Atomic structure:
```
K4CuBr6
1.0
9.0124 0.0000 0.0000
0.0000 9.0124 0.0000
0.0000 0.0000 9.0454
K Cu Br
8 2 12
Direct
0.1643 0.3357 0.2500 K
0.1643 0.3357 0.7500 K
0.3357 0.8357 0.2500 K
0.3357 0.8357 0.7500 K
0.6643 0.1643 0.2500 K
0.6643 0.1643 0.7500 K
0.8357 0.6643 0.2500 K
0.8357 0.6643 0.7500 K
0.0000 0.0000 0.0000 Cu
0.5000 0.5000 0.5000 Cu
0.0000 0.0000 0.2648 Br
0.0000 0.0000 0.7352 Br
0.1051 0.6950 0.0000 Br
0.1950 0.6051 0.5000 Br
0.3050 0.1051 0.0000 Br
0.3949 0.1950 0.5000 Br
0.5000 0.5000 0.2352 Br
0.5000 0.5000 0.7648 Br
0.6051 0.8050 0.5000 Br
0.6950 0.8949 0.0000 Br
0.8050 0.3949 0.5000 Br
0.8949 0.3050 0.0000 Br
```



The following is a computed powder diffraction line list of Nb3PtC. It was derived from a GGA-PBE-relaxed structure, using copper Kα.
Kinematic intensities with the Lorentz-polarization factor, no thermal factor.

Top 12 peaks for 2θ from 10° to 90°, in order of rising 2θ:
2θ/deg  I_rel
15.96  25.1
30.88  34.6
34.83  33.0
35.76  50.1
37.18  38.5
38.44  90.4
38.63  100.0
41.40  33.3
42.83  67.3
66.02  34.9
71.49  29.2
74.30  23.0

Atomic structure:
```
Nb3PtC
1.0
1.5974 -5.5523 0.0000
1.5974 5.5523 0.0000
0.0000 0.0000 8.7242
Nb Pt C
6 2 2
Direct
0.0397 0.9603 0.7500 Nb
0.3716 0.6284 0.5466 Nb
0.3716 0.6284 0.9534 Nb
0.6284 0.3716 0.0466 Nb
0.6284 0.3716 0.4534 Nb
0.9603 0.0397 0.2500 Nb
0.2554 0.7446 0.2500 Pt
0.7446 0.2554 0.7500 Pt
0.0000 0.0000 0.0000 C
0.0000 0.0000 0.5000 C
```